Diffraction record for Ce2PdPt5. The PXRD pattern is computed, not measured: it uses a DFT-relaxed cell (GGA-PBE, Alexandria) and Cu Kα (λ = 1.5418 Å).
Peak positions follow from Bragg's law for the DFT cell and can differ from measured ones.

Most intense lines, 15 to 90 degrees two-theta, by angle:
d (Å)	2theta	I (rel.)	hkl
5.896	15.0	1	0 2 0
5.271	16.8	1	1 1 0
4.168	21.3	1	1 2 0
3.270	27.3	1	1 1 1
2.948	30.3	1	1 2 1
2.407	37.4	100	2 0 1
2.084	43.4	49	2 4 0
1.474	63.1	33	4 0 0
1.257	75.7	39	4 4 1
1.203	79.7	11	4 0 2

Atomic structure:
a = 5.8923 Å, b = 11.7917 Å, c = 4.1708 Å
α = 90.00°, β = 90.00°, γ = 90.00°
Fractional coordinates of all 16 atoms:
Ce (0.2490, 0.1249, 0.0000)
Ce (0.2510, 0.6249, 0.0000)
Ce (0.7490, 0.3751, 0.0000)
Ce (0.7510, 0.8751, 0.0000)
Pd (0.0000, 0.0000, 0.5000)
Pd (0.5000, 0.5000, 0.5000)
Pt (0.0000, 0.5000, 0.5000)
Pt (0.0021, 0.7499, 0.5000)
Pt (0.2487, 0.3751, 0.0000)
Pt (0.2513, 0.8751, 0.0000)
Pt (0.4979, 0.2499, 0.5000)
Pt (0.5000, 0.0000, 0.5000)
Pt (0.5021, 0.7501, 0.5000)
Pt (0.7487, 0.1249, 0.0000)
Pt (0.7513, 0.6249, 0.0000)
Pt (0.9979, 0.2501, 0.5000)